Starting from a crystal structure in Alexandria, relaxed with PBE+U, the powder diffractogram of MoO3F was calculated for a wavelength of 1.5418 Å.
Intensities are scaled so that the largest is 100.

Cell and atoms:
abc: 5.489 5.586 5.565
angles: 90.00 117.50 90.00
Atoms (fractional coordinates):
Mo  0.010  0.000  0.250
Mo  0.990  0.500  0.750
O  0.003  0.826  0.969
O  0.019  0.272  0.544
O  0.346  0.603  0.941
O  0.654  0.103  0.059
O  0.981  0.772  0.456
O  0.997  0.326  0.031
F  0.392  0.074  0.425
F  0.608  0.574  0.575

Most intense lines, 10° ≤ 2θ ≤ 90°, low angle first:
2θ (°)  Rel. int.  index
18.2  92.0  1 0 0
24.1  100.0  0 1 1
24.7  89.8  1 1 -1
32.0  15.5  0 2 0
32.2  20.1  1 0 -2
35.2  15.3  1 1 1
36.5  16.0  2 1 -1
36.9  21.6  2 0 0
46.1  27.0  1 2 -2
52.5  20.8  1 1 -3